1.
The following is a theoretical powder diffraction line list of MgAl2P3O12. It was derived from a DFT-relaxed cell (PBE, Alexandria), using copper Kα.

Principal peaks in the range 2θ = 10–90°, by intensity:
2θ/deg	d/Å	I_rel
13.65	6.487	100
13.79	6.421	71
13.34	6.635	37
23.85	3.730	23
23.75	3.747	22
23.57	3.774	19
19.14	4.636	18
24.09	3.694	15

```
data_MgAl2P3O12
_space_group_name_H-M_alt 'C 1 c 1'
_space_group_IT_number 9
_cell_length_a 13.2719
_cell_length_b 12.9630
_cell_length_c 8.9924
_cell_angle_alpha 90.00
_cell_angle_beta 90.88
_cell_angle_gamma 90.00
loop_
_space_group_symop_operation_xyz
'x,y,z'
'x,-y,z+1/2'
'x+1/2,y+1/2,z'
'x+1/2,-y+1/2,z+1/2'
loop_
_atom_site_label
_atom_site_fract_x
_atom_site_fract_y
_atom_site_fract_z
Mg1 0.0000 0.1254 0.0000
Al1 0.2383 0.3738 0.0239
Al2 0.3772 0.0142 0.7634
P1 0.2522 0.1245 0.0266
P2 0.3570 0.4802 0.7617
P3 0.4985 0.1207 0.4998
O1 0.1099 0.3976 0.0453
O2 0.1411 0.0969 0.0295
O3 0.2667 0.2426 0.0329
O4 0.2757 0.4257 0.8537
O5 0.2999 0.0847 0.8820
O6 0.3039 0.4374 0.1657
O7 0.3074 0.0780 0.1632
O8 0.4112 0.4009 0.6658
O9 0.4332 0.0976 0.6362
O10 0.4361 0.4691 0.3624
O11 0.4709 0.0454 0.3724
O12 0.4841 0.2314 0.4486
```



2.
The following is a theoretical powder diffraction line list of MgPaAlO6. It was derived from a DFT-relaxed cell (PBE, Alexandria), using copper Kα.

Principal peaks in the range 2θ = 10–90°, by intensity:
2θ/deg	d/Å	I_rel
20.90	4.249	100
26.56	3.357	65
33.95	2.641	50
51.79	1.765	45
32.63	2.745	37
43.68	2.072	34
18.61	4.767	31
42.55	2.125	21

```
data_MgPaAlO6
_space_group_name_H-M_alt 'P 42 n m'
_space_group_IT_number 102
_cell_length_a 4.7469
_cell_length_b 4.7469
_cell_length_c 9.5344
_cell_angle_alpha 90.00
_cell_angle_beta 90.00
_cell_angle_gamma 90.00
loop_
_space_group_symop_operation_xyz
'x,y,z'
'-y+1/2,x+1/2,z+1/2'
'-x,-y,z'
'y+1/2,-x+1/2,z+1/2'
'-x+1/2,y+1/2,z+1/2'
'y,x,z'
'x+1/2,-y+1/2,z+1/2'
'-y,-x,z'
loop_
_atom_site_label
_atom_site_fract_x
_atom_site_fract_y
_atom_site_fract_z
Mg1 0.0000 0.0000 0.0000
Pa1 0.0000 0.0000 0.6654
Al1 0.0000 0.0000 0.3298
O1 0.1866 0.1866 0.1760
O2 0.1925 0.1925 0.4786
O3 0.2150 0.2150 0.8386
```